Computed powder XRD pattern
Compound: AcDy9Er2
Radiation: copper Kα
Structure: DFT lattice parameters and positions (PBE)

Crystal structure
Lattice parameters (Å, degrees): 5.0485 5.0485 15.1732 90.00 90.00 90.00
Space group P4/mmm (No. 123)
Inequivalent atoms, fractional coordinates:
Ac 0.0000 0.0000 0.0000 x1
Dy 0.0000 0.5000 0.1745 x4
Dy 0.0000 0.5000 0.5000 x2
Dy 0.5000 0.5000 0.0000 x1
Dy 0.5000 0.5000 0.3379 x2
Er 0.0000 0.0000 0.3365 x2

The 8 most intense peaks (5° ≤ 2θ ≤ 70°), by angle:
(hkl), 2θ (°), I (rel.)
1 1 2, 27.62, 1
1 1 3, 30.65, 100
2 0 0, 35.54, 51
2 0 5, 46.81, 1
2 2 0, 51.14, 36
1 1 8, 54.81, 1
3 1 3, 60.82, 42
2 2 6, 63.83, 12